The following is a simulated powder diffraction line list of Sr3NbCoO7. It was derived from a PBE+U-relaxed structure, using CuKα.
No peak broadening, texture or thermal motion is included.

Structural model:
Lattice parameters (Å, degrees): 5.6218 5.6217 21.5199 90.00 90.00 90.00
Space group Aea2 (No. 41)
Unique sites:
Sr  0.0000  0.0000  0.0000 x4
Sr  0.0000  0.0000  0.1654 x4
Sr  0.0000  0.0000  0.3752 x4
Nb  0.0000  0.0000  0.7824 x4
Co  0.0000  0.0000  0.5773 x4
O  0.0000  0.0000  0.4851 x4
O  0.0000  0.0000  0.6929 x4
O  0.0000  0.0000  0.8804 x4
O  0.2345  0.2344  0.5875 x8
O  0.2493  0.2494  0.2878 x8

Top 8 peaks for 2θ = 10–80°, low angle first:
- hkl 1 1 5, 30.61°, rel. 100.0
- hkl 2 0 0, 31.84°, rel. 62.3
- hkl 0 0 10, 41.98°, rel. 15.3
- hkl 2 2 0, 45.64°, rel. 37.9
- hkl 2 0 10, 53.64°, rel. 15.8
- hkl 3 1 5, 55.96°, rel. 36.5
- hkl 2 2 10, 63.74°, rel. 15.7
- hkl 4 0 0, 66.53°, rel. 11.2